Diffraction record for Er4Cd. The X-ray diffraction stick pattern is simulated, not measured: it uses a crystal structure in Alexandria, relaxed with GGA-PBE and λ = 1.5418 Å (Cu Kα).
Intensities are scaled so that the largest is 100.

Structure:
```
Er4Cd
1.0
-2.601 3.351 8.115
2.601 -3.351 8.115
2.601 3.351 -8.115
Er Cd
8 2
Cartesian
0.000 0.000 0.000
2.601 1.676 -1.700
0.000 0.023 3.182
2.601 0.023 4.934
0.000 3.351 0.000
0.000 3.328 3.182
2.601 3.328 4.934
0.000 1.676 9.816
2.601 1.676 1.824
0.000 1.676 6.291
```

Largest 10 diffraction maxima, by intensity, 2θ = 10–90°:
- 32.51°, I 100
- 32.25°, I 85
- 34.48°, I 44
- 34.72°, I 34
- 65.17°, I 27
- 49.74°, I 25
- 42.97°, I 18
- 60.53°, I 17
- 56.22°, I 17
- 35.94°, I 15

***

Diffraction record for CrFe6Re. The X-ray diffraction stick pattern is simulated, not measured: it uses a crystal structure in Alexandria, relaxed with GGA-PBE and λ = 1.5418 Å (Cu Kα).
Intensities are scaled so that the largest is 100.

Structure:
```
CrFe6Re
1.0
3.571 -5.026 0.000
3.571 5.026 0.000
0.000 0.000 10.041
Cr Fe Re
4 24 4
Cartesian
0.000 0.000 2.500
0.000 0.000 7.541
3.571 2.498 5.021
3.571 -2.498 5.021
0.000 0.000 0.000
0.000 0.000 5.021
1.762 1.269 3.778
1.762 1.269 6.263
1.763 1.246 1.274
1.763 1.246 8.768
3.571 2.536 2.543
3.571 2.536 7.498
1.763 -1.246 1.274
1.763 -1.246 8.768
1.762 -1.269 3.778
1.762 -1.269 6.263
3.571 0.000 0.000
3.571 0.000 5.021
5.380 1.269 3.778
5.380 1.269 6.263
5.380 1.246 1.274
5.380 1.246 8.768
3.571 -2.536 2.543
3.571 -2.536 7.498
5.380 -1.246 1.274
5.380 -1.246 8.768
5.380 -1.269 3.778
5.380 -1.269 6.263
3.571 2.503 0.000
3.571 0.000 2.508
3.571 0.000 7.533
3.571 -2.503 0.000
```

Largest 10 diffraction maxima, by intensity, 2θ = 10–90°:
- 44.08°, I 100
- 51.45°, I 31
- 75.50°, I 18
- 51.16°, I 16
- 35.67°, I 9
- 75.74°, I 9
- 25.07°, I 9
- 15.22°, I 7
- 23.40°, I 6
- 24.93°, I 5

***

Diffraction record for Li7Tl2Hg. The X-ray diffraction stick pattern is simulated, not measured: it uses a crystal structure in Alexandria, relaxed with GGA-PBE and λ = 1.5418 Å (Cu Kα).
Intensities are scaled so that the largest is 100.

Structure:
```
Li7Tl2Hg
1.0
4.690 0.000 0.000
-2.345 4.062 0.000
0.000 0.000 10.094
Li Tl Hg
7 2 1
Cartesian
0.000 0.000 0.000
0.000 0.000 2.407
0.000 0.000 4.813
0.000 2.708 0.474
0.000 2.708 6.604
2.345 1.354 5.137
2.345 1.354 8.659
0.000 0.000 7.450
0.000 2.708 3.529
2.345 1.354 1.538
```

Largest 10 diffraction maxima, by intensity, 2θ = 10–90°:
- 23.61°, I 100
- 28.20°, I 47
- 38.38°, I 36
- 34.62°, I 33
- 42.16°, I 25
- 17.57°, I 20
- 45.56°, I 18
- 60.52°, I 15
- 61.05°, I 15
- 42.51°, I 14

***

Diffraction record for Cs12K6Cl. The X-ray diffraction stick pattern is simulated, not measured: it uses a crystal structure in Alexandria, relaxed with GGA-PBE and λ = 1.5418 Å (Cu Kα).
Intensities are scaled so that the largest is 100.

Structure:
```
Cs12K6Cl
1.0
7.813 4.511 8.354
-7.813 4.511 8.354
0.000 -9.021 8.354
Cs K Cl
12 6 1
Cartesian
-5.209 -2.965 14.600
-0.037 -5.994 10.462
-5.172 3.029 10.462
-2.513 -1.417 10.377
-0.029 -2.885 14.685
-2.484 1.468 14.685
2.484 -1.468 10.377
0.029 2.885 10.377
2.513 1.417 14.685
5.172 -3.029 14.600
0.037 5.994 14.600
5.209 2.965 10.462
-0.001 -2.919 6.135
-2.527 1.461 6.135
2.528 1.458 6.135
-2.528 -1.458 18.926
2.527 -1.461 18.926
0.001 2.919 18.926
0.000 0.000 12.531
```

Largest 10 diffraction maxima, by intensity, 2θ = 10–90°:
- 22.40°, I 100
- 37.98°, I 25
- 40.83°, I 25
- 21.27°, I 24
- 34.44°, I 22
- 19.68°, I 20
- 41.47°, I 18
- 29.14°, I 18
- 54.97°, I 15
- 56.48°, I 10